[1]
For Na2InB2O6, a crystal structure in Alexandria, relaxed with PBE gives the computed X-ray diffraction stick pattern in this record (Cu Kα (λ = 1.5418 Å)).

Cell and atoms:
Unit cell a=5.1913 b=5.1913 c=6.1247 alpha=90.00 beta=90.00 gamma=120.00
Space group P-3 (No. 147)
Asymmetric unit:
1 Na 0.3333 0.6667 0.3509
2 In 0.0000 0.0000 0.0000
3 B 0.3333 0.6667 0.8039
4 O 0.0957 0.3810 0.7912

Main lines, sorted by position (2θ = 5–70°):
2θ/deg  I (rel.)  h k l
14.46  53.2  0 0 1
19.75  30.8  1 0 0
24.56  100.0  1 0 1
34.56  26.5  1 1 0
35.47  51.9  1 0 2
42.85  27.7  2 0 1

[2]
For Li2CdHg4Bi, a crystal structure in Alexandria, relaxed with PBE gives the computed X-ray diffraction stick pattern in this record (Cu Kα (λ = 1.5418 Å)).

Cell and atoms:
Unit cell a=4.9274 b=4.9274 c=26.6431 alpha=90.00 beta=90.00 gamma=120.00
Space group R-3m (No. 166, hexagonal axes)
Asymmetric unit:
1 Li 0.0000 0.0000 0.2477
2 Cd 0.0000 0.0000 0.5000
3 Hg 0.0000 0.0000 0.1269
4 Hg 0.0000 0.0000 0.3882
5 Bi 0.0000 0.0000 0.0000

Main lines, sorted by position (2θ = 5–70°):
2θ/deg  I (rel.)  h k l
21.87  37.3  0 1 2
24.78  40.4  1 0 4
34.15  100.0  0 1 8
36.47  98.4  1 1 0
50.82  33.0  2 0 8
64.16  33.0  1 2 8

[3]
For MgHIr6, a crystal structure in Alexandria, relaxed with PBE gives the computed X-ray diffraction stick pattern in this record (Cu Kα (λ = 1.5418 Å)).

Cell and atoms:
Unit cell a=7.3220 b=7.3220 c=6.9133 alpha=90.00 beta=90.00 gamma=120.00
Space group R3 (No. 146, hexagonal axes)
Asymmetric unit:
1 Mg 0.0000 0.0000 0.0000
2 H 0.0000 0.0000 0.7154
3 Ir 0.0474 0.2527 0.6312
4 Ir 0.1385 0.7118 0.9940

Main lines, sorted by position (2θ = 5–70°):
2θ/deg  I (rel.)  h k l
18.99  16.1  1 0 1
39.09  32.7  0 0 3
39.81  100.0  2 1 1
46.09  67.5  3 -2 2
66.72  19.1  2 1 4
67.72  20.6  1 4 0

[4]
For NdSbHPd, a crystal structure in Alexandria, relaxed with PBE gives the computed X-ray diffraction stick pattern in this record (Cu Kα (λ = 1.5418 Å)).

Cell and atoms:
Unit cell a=4.5671 b=4.5671 c=4.1605 alpha=90.00 beta=90.00 gamma=120.00
Space group P3m1 (No. 156)
Asymmetric unit:
1 Nd 0.0000 0.0000 0.0000
2 Sb 0.3333 0.6667 0.4768
3 H 0.6667 0.3333 0.9769
4 Pd 0.6667 0.3333 0.5568

Main lines, sorted by position (2θ = 5–70°):
2θ/deg  I (rel.)  h k l
31.20  100.0  0 1 1
39.46  55.0  1 1 0
43.50  11.8  0 0 2
51.14  24.8  2 0 1
60.17  26.6  1 1 2
66.45  22.4  1 2 1